Entry 1:
Starting from a PBE-relaxed structure, the powder diffraction line list of MgAgHg was calculated for Cu Kα X-rays.
Lines closer than 0.1° are merged.

Principal peaks in the range 2θ = 10–90°, in order of falling intensity:
hkl 1 3 0, d = 2.410 Å, I 100
hkl 1 1 1, d = 3.437 Å, I 57
hkl 2 0 0, d = 2.477 Å, I 29
hkl 0 2 2, d = 2.386 Å, I 26
hkl 0 2 1, d = 3.378 Å, I 24
hkl 2 2 2, d = 1.719 Å, I 19

abc: 4.9548 8.2842 5.8391
angles: 90.00 90.00 90.00
Space group Cmcm (No. 63)
Symmetry-distinct sites (fractional):
Mg  0.0000  0.1662  0.2500 x4
Ag  0.0000  0.5000  0.0000 x4
Hg  0.0000  0.1716  0.7500 x4


Entry 2:
Starting from a PBE-relaxed structure, the powder diffraction line list of MgAgHg3 was calculated for Cu Kα X-rays.
Lines closer than 0.1° are merged.

Principal peaks in the range 2θ = 10–90°, in order of falling intensity:
hkl 1 0 -4, d = 2.422 Å, I 100
hkl 0 2 1, d = 2.908 Å, I 63
hkl 2 0 2, d = 2.501 Å, I 57
hkl 3 0 -2, d = 2.576 Å, I 49
hkl 1 2 -3, d = 2.222 Å, I 38
hkl 1 2 -2, d = 2.562 Å, I 34

abc: 7.9126 6.1366 9.6962
angles: 90.00 109.74 90.00
Space group P2_1/c (No. 14)
Symmetry-distinct sites (fractional):
Mg  0.1639  0.2208  0.0548 x4
Ag  0.4632  0.6181  0.8628 x4
Hg  0.0510  0.5679  0.7581 x4
Hg  0.2396  0.7162  0.0646 x4
Hg  0.3653  0.1137  0.8595 x4


Repeat the first record exactly.
Starting from a PBE-relaxed structure, the powder diffraction line list of MgAgHg was calculated for Cu Kα X-rays.
Lines closer than 0.1° are merged.

Principal peaks in the range 2θ = 10–90°, in order of falling intensity:
hkl 1 3 0, d = 2.410 Å, I 100
hkl 1 1 1, d = 3.437 Å, I 57
hkl 2 0 0, d = 2.477 Å, I 29
hkl 0 2 2, d = 2.386 Å, I 26
hkl 0 2 1, d = 3.378 Å, I 24
hkl 2 2 2, d = 1.719 Å, I 19

abc: 4.9548 8.2842 5.8391
angles: 90.00 90.00 90.00
Space group Cmcm (No. 63)
Symmetry-distinct sites (fractional):
Mg  0.0000  0.1662  0.2500 x4
Ag  0.0000  0.5000  0.0000 x4
Hg  0.0000  0.1716  0.7500 x4


What is the formula in the second record? MgAgHg3